Record 1
CsTl12Pb6: calculated powder diffractogram (λ = 1.5418 Å (Cu Kα)), based on the GGA-PBE geometry in Alexandria.

Cell and atoms:
a b c (Å): 9.148 9.148 9.148
angles (deg): 104.82 104.82 104.82
Sites, in units of the cell vectors:
Cs 0.000 0.000 0.000
Tl 0.110 0.500 0.890
Tl 0.110 0.890 0.500
Tl 0.124 0.373 0.373
Tl 0.373 0.124 0.373
Tl 0.373 0.373 0.124
Tl 0.500 0.110 0.890
Tl 0.500 0.890 0.110
Tl 0.627 0.627 0.876
Tl 0.627 0.876 0.627
Tl 0.876 0.627 0.627
Tl 0.890 0.110 0.500
Tl 0.890 0.500 0.110
Pb 0.292 0.693 0.693
Pb 0.307 0.307 0.708
Pb 0.307 0.708 0.307
Pb 0.693 0.292 0.693
Pb 0.693 0.693 0.292
Pb 0.708 0.307 0.307

Most intense lines, 2θ = 10–90°, by angle:
| 2θ (°) | d_spacing | I_rel |
| --- | --- | --- |
| 26.84 | 3.322 | 80 |
| 27.11 | 3.289 | 56 |
| 32.11 | 2.788 | 100 |
| 32.34 | 2.768 | 73 |
| 35.12 | 2.555 | 59 |
| 35.44 | 2.533 | 47 |
| 39.40 | 2.287 | 52 |
| 59.48 | 1.554 | 20 |
| 61.61 | 1.505 | 29 |
| 64.26 | 1.449 | 26 |

Record 2
In3P5: calculated powder diffractogram (λ = 1.5418 Å (Cu Kα)), based on the GGA-PBE geometry in Alexandria.

Cell and atoms:
a b c (Å): 7.086 7.811 8.240
angles (deg): 79.92 67.98 72.49
Sites, in units of the cell vectors:
In 0.000 0.000 0.000
In 0.019 0.497 0.830
In 0.324 0.230 0.233
In 0.419 0.701 0.150
In 0.661 0.401 0.682
In 0.741 0.044 0.434
P 0.136 0.267 0.585
P 0.138 0.988 0.254
P 0.152 0.528 0.085
P 0.256 0.988 0.683
P 0.527 0.005 0.759
P 0.645 0.413 0.287
P 0.646 0.712 0.818
P 0.699 0.858 0.214
P 0.724 0.308 0.028
P 0.852 0.582 0.300

Most intense lines, 2θ = 10–90°, by angle:
| 2θ (°) | d_spacing | I_rel |
| --- | --- | --- |
| 11.61 | 7.621 | 40 |
| 17.24 | 5.142 | 59 |
| 21.07 | 4.217 | 58 |
| 24.12 | 3.690 | 70 |
| 26.46 | 3.369 | 100 |
| 30.86 | 2.897 | 45 |
| 31.91 | 2.805 | 47 |
| 32.81 | 2.730 | 46 |
| 33.16 | 2.701 | 52 |
| 47.30 | 1.922 | 49 |

Record 3
Tb4ErTm6: calculated powder diffractogram (λ = 1.5418 Å (Cu Kα)), based on the GGA-PBE geometry in Alexandria.

Cell and atoms:
a b c (Å): 9.582 9.582 9.582
angles (deg): 140.35 140.35 57.32
Sites, in units of the cell vectors:
Tb 0.139 0.139 0.625
Tb 0.487 0.861 0.000
Tb 0.513 0.513 0.375
Tb 0.861 0.487 0.000
Er 0.500 0.500 0.000
Tm 0.000 0.500 0.500
Tm 0.050 0.692 0.000
Tm 0.308 0.308 0.358
Tm 0.500 0.000 0.500
Tm 0.692 0.050 0.000
Tm 0.950 0.950 0.642

Most intense lines, 2θ = 10–90°, by angle:
| 2θ (°) | d_spacing | I_rel |
| --- | --- | --- |
| 28.78 | 3.102 | 35 |
| 29.47 | 3.031 | 65 |
| 29.92 | 2.987 | 26 |
| 31.23 | 2.864 | 100 |
| 31.93 | 2.803 | 32 |
| 34.90 | 2.571 | 78 |
| 37.59 | 2.393 | 26 |
| 39.21 | 2.298 | 29 |
| 41.05 | 2.199 | 40 |
| 58.83 | 1.570 | 36 |

Record 4
BaAcZnN2: calculated powder diffractogram (λ = 1.5418 Å (Cu Kα)), based on the GGA-PBE geometry in Alexandria.

Cell and atoms:
a b c (Å): 5.834 5.870 7.395
angles (deg): 90.00 90.00 90.00
Sites, in units of the cell vectors:
Ba 0.000 0.000 0.250
Ba 0.000 0.000 0.750
Ac 0.500 0.500 0.250
Ac 0.500 0.500 0.750
Zn 0.000 0.500 0.000
Zn 0.000 0.500 0.500
N 0.252 0.306 0.000
N 0.252 0.694 0.500
N 0.748 0.306 0.500
N 0.748 0.694 0.000

Most intense lines, 2θ = 10–90°, by angle:
| 2θ (°) | d_spacing | I_rel |
| --- | --- | --- |
| 15.09 | 5.869 | 25 |
| 21.48 | 4.138 | 61 |
| 24.07 | 3.698 | 18 |
| 30.46 | 2.935 | 27 |
| 30.65 | 2.917 | 25 |
| 32.47 | 2.757 | 100 |
| 39.34 | 2.290 | 16 |
| 43.75 | 2.069 | 24 |
| 55.41 | 1.658 | 22 |
| 55.65 | 1.652 | 22 |

Record 5
Pm5Tl2Pb2: calculated powder diffractogram (λ = 1.5418 Å (Cu Kα)), based on the GGA-PBE geometry in Alexandria.

Cell and atoms:
a b c (Å): 9.148 9.148 8.349
angles (deg): 90.00 90.00 54.99
Sites, in units of the cell vectors:
Pm 0.000 0.000 0.000
Pm 0.037 0.685 0.670
Pm 0.185 0.537 0.170
Pm 0.315 0.963 0.670
Pm 0.463 0.815 0.170
Pm 0.500 0.500 0.500
Pm 0.537 0.185 0.830
Pm 0.685 0.037 0.330
Pm 0.815 0.463 0.830
Pm 0.963 0.315 0.330
Tl 0.128 0.872 0.372
Tl 0.372 0.628 0.872
Tl 0.628 0.372 0.128
Tl 0.872 0.128 0.628
Pb 0.207 0.207 0.000
Pb 0.293 0.293 0.500
Pb 0.707 0.707 0.500
Pb 0.793 0.793 0.000

Most intense lines, 2θ = 10–90°, by angle:
| 2θ (°) | d_spacing | I_rel |
| --- | --- | --- |
| 26.07 | 3.418 | 38 |
| 29.01 | 3.078 | 100 |
| 30.10 | 2.969 | 56 |
| 30.55 | 2.926 | 42 |
| 30.73 | 2.909 | 38 |
| 32.43 | 2.761 | 76 |
| 34.06 | 2.633 | 60 |
| 34.38 | 2.609 | 57 |
| 44.20 | 2.049 | 40 |
| 61.63 | 1.505 | 38 |

Record 6
Sr2ZrBr: calculated powder diffractogram (λ = 1.5418 Å (Cu Kα)), based on the GGA-PBE geometry in Alexandria.

Cell and atoms:
a b c (Å): 12.836 3.653 6.292
angles (deg): 90.00 111.20 90.00
Sites, in units of the cell vectors:
Sr 0.000 0.000 0.000
Sr 0.194 0.000 0.652
Sr 0.500 0.500 0.000
Sr 0.694 0.500 0.652
Zr 0.426 0.000 0.451
Zr 0.926 0.500 0.451
Br 0.264 0.500 0.134
Br 0.764 0.000 0.134

Most intense lines, 2θ = 10–90°, by angle:
| 2θ (°) | d_spacing | I_rel |
| --- | --- | --- |
| 28.16 | 3.169 | 37 |
| 28.64 | 3.116 | 41 |
| 29.86 | 2.992 | 24 |
| 31.15 | 2.872 | 100 |
| 33.03 | 2.712 | 54 |
| 38.77 | 2.323 | 18 |
| 39.51 | 2.281 | 16 |
| 45.30 | 2.002 | 25 |
| 49.93 | 1.827 | 15 |
| 57.49 | 1.603 | 18 |

Record 7
LiNi15Sb4: calculated powder diffractogram (λ = 1.5418 Å (Cu Kα)), based on the GGA-PBE geometry in Alexandria.

Cell and atoms:
a b c (Å): 3.725 3.725 18.113
angles (deg): 90.00 90.00 90.00
Sites, in units of the cell vectors:
Li 0.000 0.000 0.000
Ni 0.000 0.500 0.090
Ni 0.000 0.500 0.295
Ni 0.000 0.500 0.500
Ni 0.000 0.500 0.705
Ni 0.000 0.500 0.910
Ni 0.500 0.000 0.090
Ni 0.500 0.000 0.295
Ni 0.500 0.000 0.500
Ni 0.500 0.000 0.705
Ni 0.500 0.000 0.910
Ni 0.500 0.500 0.000
Ni 0.500 0.500 0.196
Ni 0.500 0.500 0.398
Ni 0.500 0.500 0.602
Ni 0.500 0.500 0.804
Sb 0.000 0.000 0.188
Sb 0.000 0.000 0.396
Sb 0.000 0.000 0.604
Sb 0.000 0.000 0.812

Most intense lines, 2θ = 10–90°, by angle:
| 2θ (°) | d_spacing | I_rel |
| --- | --- | --- |
| 31.09 | 2.877 | 4 |
| 39.58 | 2.277 | 5 |
| 42.43 | 2.130 | 100 |
| 48.90 | 1.862 | 34 |
| 50.38 | 1.811 | 13 |
| 71.66 | 1.317 | 10 |
| 72.84 | 1.299 | 16 |
| 83.19 | 1.161 | 4 |
| 86.98 | 1.120 | 23 |
| 89.23 | 1.098 | 7 |

Record 8
Zr4TiRh5: calculated powder diffractogram (λ = 1.5418 Å (Cu Kα)), based on the GGA-PBE geometry in Alexandria.

Cell and atoms:
a b c (Å): 3.260 3.260 16.360
angles (deg): 90.00 90.00 90.00
Sites, in units of the cell vectors:
Zr 0.000 0.000 0.103
Zr 0.000 0.000 0.307
Zr 0.000 0.000 0.693
Zr 0.000 0.000 0.897
Ti 0.000 0.000 0.500
Rh 0.500 0.500 0.000
Rh 0.500 0.500 0.205
Rh 0.500 0.500 0.411
Rh 0.500 0.500 0.589
Rh 0.500 0.500 0.795

Most intense lines, 2θ = 10–90°, by angle:
| 2θ (°) | d_spacing | I_rel |
| --- | --- | --- |
| 35.20 | 2.549 | 2 |
| 39.03 | 2.308 | 100 |
| 56.23 | 1.636 | 5 |
| 56.45 | 1.630 | 11 |
| 65.38 | 1.427 | 1 |
| 70.60 | 1.334 | 9 |
| 70.75 | 1.332 | 22 |
| 83.77 | 1.155 | 6 |
| 83.96 | 1.153 | 4 |
| 88.98 | 1.100 | 1 |

Record 9
Rb2MgAuI6: calculated powder diffractogram (λ = 1.5418 Å (Cu Kα)), based on the GGA-PBE geometry in Alexandria.

Cell and atoms:
a b c (Å): 8.354 8.354 8.354
angles (deg): 119.15 119.15 91.48
Sites, in units of the cell vectors:
Rb 0.250 0.750 0.500
Rb 0.750 0.250 0.500
Mg 0.000 0.000 0.000
Au 0.500 0.500 0.000
I 0.239 0.239 0.479
I 0.239 0.761 0.000
I 0.269 0.269 0.000
I 0.731 0.731 0.000
I 0.761 0.239 0.000
I 0.761 0.761 0.521

Most intense lines, 2θ = 10–90°, by angle:
| 2θ (°) | d_spacing | I_rel |
| --- | --- | --- |
| 12.93 | 6.848 | 27 |
| 14.81 | 5.983 | 35 |
| 24.74 | 3.599 | 25 |
| 26.02 | 3.424 | 100 |
| 29.87 | 2.991 | 95 |
| 30.67 | 2.915 | 43 |
| 42.75 | 2.115 | 35 |
| 43.34 | 2.088 | 64 |
| 50.74 | 1.799 | 35 |
| 53.52 | 1.712 | 34 |

Record 10
NaTi3AlO8: calculated powder diffractogram (λ = 1.5418 Å (Cu Kα)), based on the GGA-PBE geometry in Alexandria.

Cell and atoms:
a b c (Å): 6.411 6.411 6.508
angles (deg): 107.23 107.23 34.44
Sites, in units of the cell vectors:
Na 0.000 0.000 0.000
Ti 0.412 0.412 0.332
Ti 0.619 0.619 0.754
Ti 0.718 0.718 0.350
Al 0.312 0.312 0.746
O 0.157 0.157 0.762
O 0.253 0.253 0.413
O 0.385 0.385 0.044
O 0.460 0.460 0.697
O 0.574 0.574 0.420
O 0.645 0.645 0.064
O 0.786 0.786 0.709
O 0.878 0.878 0.343

Most intense lines, 2θ = 10–90°, by angle:
| 2θ (°) | d_spacing | I_rel |
| --- | --- | --- |
| 14.32 | 6.187 | 31 |
| 24.02 | 3.705 | 47 |
| 24.67 | 3.609 | 100 |
| 28.86 | 3.094 | 53 |
| 29.59 | 3.019 | 27 |
| 33.03 | 2.712 | 80 |
| 43.90 | 2.062 | 53 |
| 44.38 | 2.041 | 53 |
| 47.93 | 1.898 | 64 |
| 67.37 | 1.390 | 30 |

Record 11
PmGaNi: calculated powder diffractogram (λ = 1.5418 Å (Cu Kα)), based on the GGA-PBE geometry in Alexandria.

Cell and atoms:
a b c (Å): 9.624 4.309 6.236
angles (deg): 90.00 90.00 90.00
Sites, in units of the cell vectors:
Pm 0.159 0.250 0.058
Pm 0.341 0.750 0.558
Pm 0.659 0.250 0.442
Pm 0.841 0.750 0.942
Ga 0.076 0.250 0.566
Ga 0.424 0.750 0.066
Ga 0.576 0.250 0.934
Ga 0.924 0.750 0.434
Ni 0.090 0.750 0.744
Ni 0.410 0.250 0.244
Ni 0.590 0.750 0.756
Ni 0.910 0.250 0.256

Most intense lines, 2θ = 10–90°, by angle:
| 2θ (°) | d_spacing | I_rel |
| --- | --- | --- |
| 25.12 | 3.545 | 32 |
| 26.80 | 3.326 | 51 |
| 27.79 | 3.210 | 58 |
| 30.13 | 2.966 | 31 |
| 31.36 | 2.853 | 49 |
| 36.79 | 2.443 | 29 |
| 40.33 | 2.237 | 100 |
| 41.93 | 2.154 | 43 |
| 52.47 | 1.744 | 32 |
| 54.23 | 1.691 | 31 |

Number 1 is which compound? CsTl12Pb6